(1)
Computed X-ray powder pattern of KCu2AgF8 for Cu Kα (λ = 1.5418 Å), from DFT lattice parameters and positions (GGA-PBE).
Lines closer than 0.1° are merged.

Most intense lines, 10° ≤ 2θ ≤ 90°, in order of rising 2θ:
Position (°2θ)  d [Å]  intensity  h k l
17.7  5.008  15.8  1 0 1
28.1  3.176  100.0  1 1 2
31.1  2.878  30.6  2 0 0
35.4  2.538  39.1  0 0 4
44.5  2.035  15.7  2 2 0
47.8  1.904  18.4  2 0 4
53.5  1.714  50.1  1 3 2
76.9  1.239  15.0  1 3 6

Structural model:
a b c (Å): 5.757 5.757 10.153
angles (deg): 90.00 90.00 90.00
Space group I-4 (No. 82)
Inequivalent atoms, fractional coordinates:
1 K 0.000 0.000 0.000
2 Cu 0.000 0.000 0.500
3 Cu 0.000 0.500 0.250
4 Ag 0.000 0.500 0.750
5 F 0.058 0.303 0.511
6 F 0.163 0.774 0.242


(2)
Computed X-ray powder pattern of LiCuAg2F4 for Cu Kα (λ = 1.5418 Å), from DFT lattice parameters and positions (GGA-PBE).
Lines closer than 0.1° are merged.

Most intense lines, 10° ≤ 2θ ≤ 90°, in order of rising 2θ:
Position (°2θ)  d [Å]  intensity  h k l
19.4  4.580  90.9  0 1 0
19.7  4.496  93.9  1 0 0
30.8  2.901  69.5  1 1 0
32.9  2.721  57.4  1 -1 1
33.6  2.670  100.0  1 1 2
33.8  2.654  57.6  0 2 1
34.0  2.636  56.9  2 0 1
41.0  2.202  48.1  -1 2 1

Structural model:
a b c (Å): 5.287 5.332 5.343
angles (deg): 61.78 60.73 86.58
Space group P1 (No. 1)
Inequivalent atoms, fractional coordinates:
1 Li 0.000 0.000 0.000
2 Cu 0.337 0.697 0.511
3 Ag 0.484 0.523 0.985
4 Ag 0.705 0.324 0.525
5 F 0.111 0.362 0.607
6 F 0.319 0.970 0.064
7 F 0.642 0.997 0.354
8 F 0.926 0.694 0.946


(3)
Computed X-ray powder pattern of Li3CuAg3F8 for Cu Kα (λ = 1.5418 Å), from DFT lattice parameters and positions (GGA-PBE).
Lines closer than 0.1° are merged.

Most intense lines, 10° ≤ 2θ ≤ 90°, in order of rising 2θ:
Position (°2θ)  d [Å]  intensity  h k l
14.8  5.989  59.3  0 0 1
17.3  5.131  41.5  2 0 -1
17.9  4.945  73.6  1 1 0
29.8  2.995  33.4  0 0 2
33.9  2.646  45.3  2 2 -1
36.3  2.472  34.5  2 2 0
38.0  2.371  100.0  2 2 -2
43.9  2.064  36.9  4 0 0

Structural model:
a b c (Å): 10.325 6.175 7.491
angles (deg): 90.00 126.92 90.00
Space group C2/m (No. 12)
Inequivalent atoms, fractional coordinates:
1 Li 0.000 0.000 0.000
2 Li 0.250 0.250 0.000
3 Cu 0.000 0.500 0.000
4 Ag 0.000 0.500 0.500
5 Ag 0.250 0.250 0.500
6 F 0.002 0.240 0.813
7 F 0.229 0.500 0.178
8 F 0.248 0.500 0.819